1.
Diffraction record for Ba3H12Ir2. The X-ray diffraction stick pattern is computed, not measured: it uses a PBE-relaxed structure and λ = 1.5418 Å (Cu Kα).
Neutral-atom scattering factors, no anomalous dispersion.

Top 12 peaks for 2θ from 10° to 80°, sorted by position:
2theta  I (rel.)
13.45  99
22.04  100
23.06  99
25.90  41
27.08  24
35.18  24
35.71  31
38.49  24
39.25  40
44.79  30
46.90  32
57.53  23

```
data_Ba3H12Ir2
_cell_length_a 13.284
_cell_length_b 8.067
_cell_length_c 5.304
_cell_angle_alpha 90.00
_cell_angle_beta 97.50
_cell_angle_gamma 90.00
_symmetry_space_group_name_H-M 'C 1 2/m 1'
_symmetry_Int_Tables_number 12
loop_
_symmetry_equiv_pos_as_xyz
'x,y,z'
'-x,-y,-z'
'-x,y,-z'
'x,-y,z'
'x+1/2,y+1/2,z'
'-x+1/2,-y+1/2,-z'
'-x+1/2,y+1/2,-z'
'x+1/2,-y+1/2,z'
loop_
_atom_site_label
_atom_site_type_symbol
_atom_site_fract_x
_atom_site_fract_y
_atom_site_fract_z
Ba1 Ba 0.000 0.000 0.000
Ba2 Ba 0.213 0.500 0.289
H1 H 0.086 0.500 0.767
H2 H 0.096 0.000 0.610
H3 H 0.160 0.312 0.771
H4 H 0.194 0.133 0.195
Ir1 Ir 0.209 0.500 0.787
```



2.
Diffraction record for Ba3H12Ir2. The X-ray diffraction stick pattern is computed, not measured: it uses a PBE-relaxed structure and λ = 1.5418 Å (Cu Kα).
Neutral-atom scattering factors, no anomalous dispersion.

Top 12 peaks for 2θ from 10° to 80°, sorted by position:
2theta  I (rel.)
18.51  25
21.03  63
27.28  99
32.35  100
35.48  47
38.25  20
42.82  30
48.77  20
54.67  29
54.81  22
57.70  19
59.74  22

```
data_Ba3H12Ir2
_cell_length_a 5.5346
_cell_length_b 5.5346
_cell_length_c 8.9382
_cell_angle_alpha 90.00
_cell_angle_beta 90.00
_cell_angle_gamma 120.00
_symmetry_space_group_name_H-M 'P -3 m 1'
_symmetry_Int_Tables_number 164
_symmetry_space_group_name_Hall '-P 3 2"'
loop_
_atom_site_label
_atom_site_type_symbol
_atom_site_fract_x
_atom_site_fract_y
_atom_site_fract_z
Ba1 Ba 0.0000 0.0000 0.0000
Ba2 Ba 0.3333 0.6667 0.6426
H1 H 0.0548 0.5274 0.1277
H2 H 0.1874 0.3748 0.3486
Ir1 Ir 0.3333 0.6667 0.2410
```



3.
Diffraction record for Ba2Mg3H10. The X-ray diffraction stick pattern is computed, not measured: it uses a PBE-relaxed structure and λ = 1.5418 Å (Cu Kα).
Neutral-atom scattering factors, no anomalous dispersion.

Top 12 peaks for 2θ from 10° to 80°, sorted by position:
2theta  I (rel.)
10.60  17
16.01  20
22.03  43
24.45  10
27.58  26
28.10  100
29.73  32
30.46  22
39.44  12
43.08  18
48.86  11
52.70  18

```
data_Ba2Mg3H10
_cell_length_a 18.033
_cell_length_b 5.869
_cell_length_c 7.867
_cell_angle_alpha 90.00
_cell_angle_beta 112.27
_cell_angle_gamma 90.00
_symmetry_space_group_name_H-M 'C 1 2/m 1'
_symmetry_Int_Tables_number 12
loop_
_symmetry_equiv_pos_as_xyz
'x,y,z'
'-x,-y,-z'
'-x,y,-z'
'x,-y,z'
'x+1/2,y+1/2,z'
'-x+1/2,-y+1/2,-z'
'-x+1/2,y+1/2,-z'
'x+1/2,-y+1/2,z'
loop_
_atom_site_label
_atom_site_type_symbol
_atom_site_fract_x
_atom_site_fract_y
_atom_site_fract_z
Ba1 Ba 0.116 0.000 0.224
Ba2 Ba 0.214 0.000 0.807
Mg1 Mg 0.000 0.245 0.500
Mg2 Mg 0.073 0.500 0.945
Mg3 Mg 0.173 0.500 0.511
H1 H 0.000 0.280 0.000
H2 H 0.023 0.500 0.676
H3 H 0.026 0.000 0.684
H4 H 0.109 0.239 0.515
H5 H 0.135 0.500 0.244
H6 H 0.150 0.265 0.984
H7 H 0.231 0.500 0.776
H8 H 0.250 0.250 0.500
```



4.
Diffraction record for BaMgH4. The X-ray diffraction stick pattern is computed, not measured: it uses a PBE-relaxed structure and λ = 1.5418 Å (Cu Kα).
Neutral-atom scattering factors, no anomalous dispersion.

Top 12 peaks for 2θ from 10° to 80°, sorted by position:
2theta  I (rel.)
20.21  84
22.13  24
25.87  44
27.14  100
28.81  36
31.34  32
32.89  40
41.08  27
42.31  32
43.08  39
48.02  18
53.26  18

```
data_BaMgH4
_cell_length_a 4.200
_cell_length_b 13.775
_cell_length_c 5.708
_cell_angle_alpha 90.00
_cell_angle_beta 90.00
_cell_angle_gamma 90.00
_symmetry_space_group_name_H-M 'C m c m'
_symmetry_Int_Tables_number 63
_symmetry_space_group_name_Hall '-C 2c 2'
loop_
_atom_site_label
_atom_site_type_symbol
_atom_site_fract_x
_atom_site_fract_y
_atom_site_fract_z
Ba1 Ba 0.000 0.137 0.250
Mg1 Mg 0.000 0.405 0.250
H1 H 0.000 0.081 0.750
H2 H 0.000 0.311 0.010
H3 H 0.000 0.500 0.000
```



5.
Diffraction record for Ba2MgH6. The X-ray diffraction stick pattern is computed, not measured: it uses a PBE-relaxed structure and λ = 1.5418 Å (Cu Kα).
Neutral-atom scattering factors, no anomalous dispersion.

Top 12 peaks for 2θ from 10° to 80°, sorted by position:
2theta  I (rel.)
17.86  27
26.59  100
31.19  53
41.43  33
43.83  13
51.31  17
52.76  30
54.76  7
55.50  10
64.35  16
70.35  8
71.57  12

```
data_Ba2MgH6
_cell_length_a 5.7358
_cell_length_b 5.7358
_cell_length_c 4.5429
_cell_angle_alpha 90.00
_cell_angle_beta 90.00
_cell_angle_gamma 120.00
_symmetry_space_group_name_H-M 'P -3 m 1'
_symmetry_Int_Tables_number 164
_symmetry_space_group_name_Hall '-P 3 2"'
loop_
_atom_site_label
_atom_site_type_symbol
_atom_site_fract_x
_atom_site_fract_y
_atom_site_fract_z
Ba1 Ba 0.3333 0.6667 0.2661
Mg1 Mg 0.0000 0.0000 0.0000
H1 H 0.1713 0.3426 0.7759
```



6.
Diffraction record for Ba6Mg7H26. The X-ray diffraction stick pattern is computed, not measured: it uses a PBE-relaxed structure and λ = 1.5418 Å (Cu Kα).
Neutral-atom scattering factors, no anomalous dispersion.

Top 12 peaks for 2θ from 10° to 80°, sorted by position:
2theta  I (rel.)
16.95  11
22.12  41
23.74  13
27.86  100
29.32  13
29.84  27
30.76  21
39.22  12
43.38  17
47.72  19
51.76  17
52.93  16

```
data_Ba6Mg7H26
_cell_length_a 5.813
_cell_length_b 11.979
_cell_length_c 14.991
_cell_angle_alpha 90.00
_cell_angle_beta 90.00
_cell_angle_gamma 90.00
_symmetry_space_group_name_H-M 'I m m m'
_symmetry_Int_Tables_number 71
_symmetry_space_group_name_Hall '-I 2 2'
loop_
_atom_site_label
_atom_site_type_symbol
_atom_site_fract_x
_atom_site_fract_y
_atom_site_fract_z
Ba1 Ba 0.000 0.000 0.144
Ba2 Ba 0.000 0.241 0.353
Mg1 Mg 0.000 0.242 0.000
Mg2 Mg 0.000 0.500 0.218
Mg3 Mg 0.000 0.500 0.500
Mg4 Mg 0.245 0.000 0.500
H1 H 0.000 0.000 0.410
H2 H 0.000 0.225 0.128
H3 H 0.000 0.500 0.087
H4 H 0.000 0.500 0.370
H5 H 0.232 0.388 0.245
H6 H 0.235 0.162 0.500
H7 H 0.249 0.114 0.000
```



7.
Diffraction record for BaMg2H8Os. The X-ray diffraction stick pattern is computed, not measured: it uses a PBE-relaxed structure and λ = 1.5418 Å (Cu Kα).
Neutral-atom scattering factors, no anomalous dispersion.

Top 12 peaks for 2θ from 10° to 80°, sorted by position:
2theta  I (rel.)
17.76  67
19.56  28
24.19  64
30.17  100
30.46  32
35.96  45
37.66  20
43.81  26
47.83  18
49.56  19
57.11  21
61.09  27

```
data_BaMg2H8Os
_cell_length_a 4.995
_cell_length_b 4.995
_cell_length_c 10.877
_cell_angle_alpha 90.00
_cell_angle_beta 90.00
_cell_angle_gamma 90.00
_symmetry_space_group_name_H-M 'P 42/m m c'
_symmetry_Int_Tables_number 131
_symmetry_space_group_name_Hall '-P 4c 2'
loop_
_atom_site_label
_atom_site_type_symbol
_atom_site_fract_x
_atom_site_fract_y
_atom_site_fract_z
Ba1 Ba 0.000 0.500 0.000
Mg1 Mg 0.000 0.500 0.361
H1 H 0.000 0.000 0.093
H2 H 0.244 0.244 0.250
H3 H 0.251 0.500 0.500
Os1 Os 0.000 0.000 0.250
```



8.
Diffraction record for BaMg2H8Ru. The X-ray diffraction stick pattern is computed, not measured: it uses a PBE-relaxed structure and λ = 1.5418 Å (Cu Kα).
Neutral-atom scattering factors, no anomalous dispersion.

Top 12 peaks for 2θ from 10° to 80°, sorted by position:
2theta  I (rel.)
17.85  42
19.66  53
24.33  38
30.34  100
30.64  60
36.15  50
41.48  17
48.10  34
49.85  16
52.05  18
57.47  22
61.44  26

```
data_BaMg2H8Ru
_cell_length_a 4.970
_cell_length_b 4.970
_cell_length_c 10.812
_cell_angle_alpha 90.00
_cell_angle_beta 90.00
_cell_angle_gamma 90.00
_symmetry_space_group_name_H-M 'P 42/m m c'
_symmetry_Int_Tables_number 131
_symmetry_space_group_name_Hall '-P 4c 2'
loop_
_atom_site_label
_atom_site_type_symbol
_atom_site_fract_x
_atom_site_fract_y
_atom_site_fract_z
Ba1 Ba 0.000 0.500 0.000
Mg1 Mg 0.000 0.500 0.360
H1 H 0.000 0.000 0.094
H2 H 0.244 0.244 0.250
H3 H 0.252 0.500 0.500
Ru1 Ru 0.000 0.000 0.250
```



9.
Diffraction record for BaNaP3H3N3O6. The X-ray diffraction stick pattern is computed, not measured: it uses a PBE-relaxed structure and λ = 1.5418 Å (Cu Kα).
Neutral-atom scattering factors, no anomalous dispersion.

Top 12 peaks for 2θ from 10° to 80°, sorted by position:
2theta  I (rel.)
12.31  53
16.88  54
24.70  31
25.91  100
27.03  32
28.07  23
29.04  80
31.07  19
31.40  36
35.45  18
41.84  28
43.37  24

```
data_BaNaP3H3N3O6
_cell_length_a 10.929
_cell_length_b 10.503
_cell_length_c 7.996
_cell_angle_alpha 90.00
_cell_angle_beta 115.56
_cell_angle_gamma 90.00
_symmetry_space_group_name_H-M 'C 1 2/m 1'
_symmetry_Int_Tables_number 12
loop_
_symmetry_equiv_pos_as_xyz
'x,y,z'
'-x,-y,-z'
'-x,y,-z'
'x,-y,z'
'x+1/2,y+1/2,z'
'-x+1/2,-y+1/2,-z'
'-x+1/2,y+1/2,-z'
'x+1/2,-y+1/2,z'
loop_
_atom_site_label
_atom_site_type_symbol
_atom_site_fract_x
_atom_site_fract_y
_atom_site_fract_z
Ba1 Ba 0.069 0.000 0.303
Na1 Na 0.000 0.318 0.500
P1 P 0.200 0.500 0.913
P2 P 0.202 0.359 0.235
H1 H 0.064 0.500 0.293
H2 H 0.078 0.319 0.918
N1 N 0.159 0.373 0.007
N2 N 0.163 0.500 0.306
O1 O 0.111 0.259 0.261
O2 O 0.112 0.500 0.705
O3 O 0.144 0.151 0.661
O4 O 0.148 0.000 0.024
```